Simulated X-ray diffraction stick pattern of CrNiP2O9 for Cu Ka, from a crystal structure in the Materials Project, relaxed with PBE+U.
Lines closer than 0.1° are merged.

Main lines, in order of rising 2θ (10° ≤ 2θ ≤ 80°):
2θ/deg  d/Å  Rel. int.  hkl
12.92  6.850  100  2 0 0
17.16  5.168  53  2 0 1
18.02  4.922  24  0 1 1
19.16  4.633  55  1 1 1
22.23  3.999  33  2 1 1
23.55  3.778  63  1 0 2
28.39  3.144  19  4 0 1
29.98  2.981  24  3 0 2
31.22  2.865  60  1 2 1
34.65  2.588  33  5 0 1
36.47  2.464  29  0 2 2
56.66  1.625  21  5 2 3

Crystal structure
```
data_CrNiP2O9
_symmetry_space_group_name_H-M 'P n m a'
_symmetry_Int_Tables_number 62
_cell_length_a 13.721
_cell_length_b 6.313
_cell_length_c 7.859
_cell_angle_alpha 90.00
_cell_angle_beta 90.00
_cell_angle_gamma 90.00
loop_
_symmetry_equiv_pos_as_xyz
'x,y,z'
'-x,-y,-z'
'-x+1/2,-y,z+1/2'
'x+1/2,y,-z+1/2'
'x+1/2,-y+1/2,-z+1/2'
'-x+1/2,y+1/2,z+1/2'
'-x,y+1/2,-z'
'x,-y+1/2,z'
loop_
_atom_site_label
_atom_site_type_symbol
_atom_site_fract_x
_atom_site_fract_y
_atom_site_fract_z
Cr1 Cr 0.117 0.250 0.148
Ni1 Ni 0.000 0.000 0.500
P1 P 0.060 0.750 0.155
P2 P 0.191 0.750 0.610
O1 O 0.019 0.750 0.340
O2 O 0.023 0.250 0.977
O3 O 0.055 0.250 0.336
O4 O 0.125 0.554 0.134
O5 O 0.129 0.549 0.601
O6 O 0.225 0.250 0.975
O7 O 0.243 0.250 0.273
```



Simulated X-ray diffraction stick pattern of MgVSnO4 for Cu Ka, from a crystal structure in the Materials Project, relaxed with PBE+U.
Lines closer than 0.1° are merged.

Main lines, in order of rising 2θ (10° ≤ 2θ ≤ 80°):
2θ/deg  d/Å  Rel. int.  hkl
16.95  5.232  76  0 0 1
23.82  3.735  56  1 0 -1
24.35  3.656  55  1 0 1
33.46  2.678  100  1 1 0
34.27  2.617  19  0 0 2
34.38  2.608  29  2 0 0
37.57  2.394  33  1 1 -1
38.90  2.315  18  2 0 1
48.39  1.881  62  1 1 -2
48.96  1.860  49  1 1 2
49.89  1.828  20  2 0 2
61.00  1.519  23  3 1 0

Crystal structure
```
data_MgVSnO4
_symmetry_space_group_name_H-M 'P 1 2/m 1'
_symmetry_Int_Tables_number 10
_cell_length_a 5.218
_cell_length_b 3.119
_cell_length_c 5.235
_cell_angle_alpha 90.00
_cell_angle_beta 91.23
_cell_angle_gamma 90.00
loop_
_symmetry_equiv_pos_as_xyz
'x,y,z'
'-x,-y,-z'
'-x,y,-z'
'x,-y,z'
loop_
_atom_site_label
_atom_site_type_symbol
_atom_site_fract_x
_atom_site_fract_y
_atom_site_fract_z
Mg1 Mg 0.000 0.000 0.000
V1 V 0.000 0.000 0.500
Sn1 Sn 0.500 0.500 0.000
O1 O 0.151 0.500 0.769
O2 O 0.329 0.000 0.206
```



Simulated X-ray diffraction stick pattern of Li2V4O5F8 for Cu Ka, from a crystal structure in the Materials Project, relaxed with PBE+U.
Lines closer than 0.1° are merged.

Main lines, in order of rising 2θ (10° ≤ 2θ ≤ 80°):
2θ/deg  d/Å  Rel. int.  hkl
14.53  6.097  100  2 0 0
17.07  5.193  52  0 0 2
25.18  3.537  47  1 1 0
25.73  3.462  39  0 0 3
26.17  3.406  38  1 1 -1
28.92  3.087  36  4 0 -1
31.37  2.852  31  1 1 2
32.77  2.733  27  3 1 0
43.57  2.077  38  0 0 5
43.74  2.070  31  6 0 -1
49.31  1.848  30  0 2 0
67.89  1.381  16  0 2 5

Crystal structure
```
data_Li2V4O5F8
_symmetry_space_group_name_H-M 'C 1 2/m 1'
_symmetry_Int_Tables_number 12
_cell_length_a 12.418
_cell_length_b 3.696
_cell_length_c 10.576
_cell_angle_alpha 90.00
_cell_angle_beta 100.87
_cell_angle_gamma 90.00
loop_
_symmetry_equiv_pos_as_xyz
'x,y,z'
'-x,-y,-z'
'-x,y,-z'
'x,-y,z'
'x+1/2,y+1/2,z'
'-x+1/2,-y+1/2,-z'
'-x+1/2,y+1/2,-z'
'x+1/2,-y+1/2,z'
loop_
_atom_site_label
_atom_site_type_symbol
_atom_site_fract_x
_atom_site_fract_y
_atom_site_fract_z
Li1 Li 0.080 0.000 0.135
V1 V 0.145 0.000 0.496
V2 V 0.220 0.000 0.882
O1 O 0.000 0.000 0.500
O2 O 0.182 0.500 0.508
O3 O 0.236 0.500 0.914
F1 F 0.073 0.000 0.902
F2 F 0.119 0.000 0.317
F3 F 0.126 0.500 0.123
F4 F 0.180 0.000 0.700
```



Simulated X-ray diffraction stick pattern of Li4Ti3Nb2Fe3O16 for Cu Ka, from a crystal structure in the Materials Project, relaxed with PBE+U.
Lines closer than 0.1° are merged.

Main lines, in order of rising 2θ (10° ≤ 2θ ≤ 80°):
2θ/deg  d/Å  Rel. int.  hkl
17.92  4.950  28  0 0 2
18.84  4.711  37  2 0 -1
19.14  4.636  100  2 0 1
19.30  4.599  65  1 1 1
24.68  3.607  35  1 1 -2
32.21  2.779  45  2 0 3
34.34  2.611  42  3 1 -2
34.83  2.576  42  3 1 2
35.01  2.563  32  0 2 2
35.67  2.517  25  2 2 1
44.06  2.055  26  2 2 -3
60.82  1.523  36  6 2 0

Crystal structure
```
data_Li4Ti3Nb2Fe3O16
_symmetry_space_group_name_H-M 'C 1 m 1'
_symmetry_Int_Tables_number 8
_cell_length_a 10.613
_cell_length_b 5.992
_cell_length_c 9.902
_cell_angle_alpha 90.00
_cell_angle_beta 91.02
_cell_angle_gamma 90.00
loop_
_symmetry_equiv_pos_as_xyz
'x,y,z'
'x,-y,z'
'x+1/2,y+1/2,z'
'x+1/2,-y+1/2,z'
loop_
_atom_site_label
_atom_site_type_symbol
_atom_site_fract_x
_atom_site_fract_y
_atom_site_fract_z
Li1 Li 0.000 0.000 0.000
Li2 Li 0.001 0.000 0.507
Li3 Li 0.172 0.500 0.085
Li4 Li 0.340 0.000 0.588
Ti1 Ti 0.326 0.500 0.759
Ti2 Ti 0.408 0.249 0.273
Nb1 Nb 0.152 0.500 0.506
Nb2 Nb 0.337 0.000 0.994
Fe1 Fe 0.088 0.253 0.786
Fe2 Fe 0.173 0.000 0.283
O1 O 0.024 0.500 0.635
O2 O 0.086 0.250 0.401
O3 O 0.172 0.000 0.920
O4 O 0.185 0.500 0.881
O5 O 0.256 0.283 0.643
O6 O 0.271 0.230 0.155
O7 O 0.341 0.500 0.388
O8 O 0.355 0.000 0.386
O9 O 0.412 0.248 0.904
O10 O 0.483 0.000 0.159
O11 O 0.494 0.500 0.189
O12 O 0.496 0.500 0.695
```



Simulated X-ray diffraction stick pattern of LiMnP3O9 for Cu Ka, from a crystal structure in the Materials Project, relaxed with PBE+U.
Lines closer than 0.1° are merged.

Main lines, in order of rising 2θ (10° ≤ 2θ ≤ 80°):
2θ/deg  d/Å  Rel. int.  hkl
17.76  4.995  32  1 1 0
25.11  3.546  100  0 2 1
30.95  2.889  7  3 -1 1
35.66  2.517  18  2 0 2
35.96  2.498  14  2 2 0
40.11  2.248  10  3 -2 2
40.31  2.238  20  4 -3 1
47.97  1.897  9  4 -1 2
48.17  1.889  7  1 4 0
51.54  1.773  9  0 4 2
57.97  1.591  6  2 2 3
67.61  1.386  8  2 5 0

Crystal structure
```
data_LiMnP3O9
_symmetry_space_group_name_H-M 'R 3'
_symmetry_Int_Tables_number 146
_symmetry_space_group_name_Hall 'R 3'
_cell_length_a 9.9908
_cell_length_b 9.9908
_cell_length_c 6.1913
_cell_angle_alpha 90.00
_cell_angle_beta 90.00
_cell_angle_gamma 120.00
loop_
_atom_site_label
_atom_site_type_symbol
_atom_site_fract_x
_atom_site_fract_y
_atom_site_fract_z
Li1 Li 0.0000 0.0000 0.0000
Mn1 Mn 0.0000 0.0000 0.5051
P1 P 0.0124 0.5507 0.4743
O1 O 0.0458 0.1830 0.7760
O2 O 0.0759 0.7205 0.5738
O3 O 0.1994 0.0987 0.2514
```



Simulated X-ray diffraction stick pattern of Mn3CoO8 for Cu Ka, from a crystal structure in the Materials Project, relaxed with PBE+U.
Lines closer than 0.1° are merged.

Main lines, in order of rising 2θ (10° ≤ 2θ ≤ 80°):
2θ/deg  d/Å  Rel. int.  hkl
18.64  4.759  100  1 1 1
36.14  2.485  35  3 1 1
37.81  2.380  10  2 2 2
43.94  2.061  50  4 0 0
48.12  1.891  10  3 3 1
58.15  1.586  16  5 1 1
63.88  1.457  26  4 4 0
67.19  1.393  14  5 3 1
75.65  1.257  4  5 3 3
76.69  1.243  6  6 2 2

Crystal structure
```
data_Mn3CoO8
_symmetry_space_group_name_H-M 'P 43 3 2'
_symmetry_Int_Tables_number 212
_symmetry_space_group_name_Hall 'P 4acd 2ab 3'
_cell_length_a 8.243
_cell_length_b 8.243
_cell_length_c 8.243
_cell_angle_alpha 90.00
_cell_angle_beta 90.00
_cell_angle_gamma 90.00
loop_
_atom_site_label
_atom_site_type_symbol
_atom_site_fract_x
_atom_site_fract_y
_atom_site_fract_z
Mn1 Mn 0.123 0.375 0.373
Co1 Co 0.125 0.125 0.125
O1 O 0.107 0.393 0.607
O2 O 0.110 0.112 0.887
```